(1)
Computed powder X-ray diffraction pattern of LiSm2SO2 for Cu Ka, from DFT lattice parameters and positions (GGA-PBE).

Largest 8 diffraction maxima, sorted by position, 10 to 90 degrees two-theta:
| h k l | d_spacing | 2θ (°) | I/Imax |
| --- | --- | --- | --- |
| 0 0 1 | 8.471 | 10.44 | 21 |
| 0 0 2 | 4.236 | 20.97 | 45 |
| 0 1 1 | 2.968 | 30.11 | 100 |
| 0 1 2 | 2.537 | 35.38 | 64 |
| 1 0 3 | 2.108 | 42.90 | 41 |
| 1 1 0 | 1.829 | 49.85 | 31 |
| 0 1 4 | 1.761 | 51.93 | 21 |
| 1 1 2 | 1.679 | 54.65 | 21 |

Structure:
abc: 3.6588 3.6588 8.4713
angles: 90.00 90.00 120.00
Space group P-3m1 (No. 164)
Inequivalent atoms, fractional coordinates:
Li 0.0000 0.0000 0.0000 [1 per cell]
Sm 0.3333 0.6667 0.7143 [2 per cell]
S 0.0000 0.0000 0.5000 [1 per cell]
O 0.3333 0.6667 0.1502 [2 per cell]

---

(2)
Computed powder X-ray diffraction pattern of CsHSO2 for Cu Ka, from DFT lattice parameters and positions (GGA-PBE).

Largest 8 diffraction maxima, sorted by position, 10 to 90 degrees two-theta:
| h k l | d_spacing | 2θ (°) | I/Imax |
| --- | --- | --- | --- |
| 1 1 -2 | 3.992 | 22.27 | 38 |
| 1 1 2 | 3.860 | 23.04 | 100 |
| 2 0 -3 | 3.394 | 26.26 | 39 |
| 3 1 0 | 3.181 | 28.05 | 49 |
| 3 1 -1 | 3.121 | 28.60 | 61 |
| 0 0 4 | 3.002 | 29.76 | 23 |
| 0 2 0 | 2.909 | 30.74 | 40 |
| 1 1 -5 | 2.208 | 40.88 | 45 |

Structure:
abc: 11.427 5.817 12.039
angles: 90.00 94.19 90.00
Space group C2/m (No. 12)
Inequivalent atoms, fractional coordinates:
Cs 0.147 0.000 0.419 [4 per cell]
Cs 0.227 0.000 0.844 [4 per cell]
H 0.059 0.135 0.128 [8 per cell]
S 0.033 0.500 0.689 [4 per cell]
S 0.041 0.500 0.860 [4 per cell]
O 0.093 0.289 0.652 [8 per cell]
O 0.094 0.500 0.351 [4 per cell]
O 0.111 0.000 0.127 [4 per cell]

---

(3)
Computed powder X-ray diffraction pattern of YCr2Si2C for Cu Ka, from DFT lattice parameters and positions (GGA-PBE).

Largest 8 diffraction maxima, sorted by position, 10 to 90 degrees two-theta:
| h k l | d_spacing | 2θ (°) | I/Imax |
| --- | --- | --- | --- |
| 1 0 1 | 3.166 | 28.19 | 27 |
| 0 0 2 | 2.628 | 34.11 | 19 |
| 1 1 1 | 2.474 | 36.31 | 100 |
| 1 0 2 | 2.191 | 41.20 | 44 |
| 2 0 0 | 1.983 | 45.76 | 46 |
| 2 1 2 | 1.470 | 63.26 | 23 |
| 2 2 0 | 1.402 | 66.72 | 14 |
| 3 1 1 | 1.220 | 78.40 | 19 |

Structure:
abc: 3.965 3.965 5.257
angles: 90.00 90.00 90.00
Space group P4/mmm (No. 123)
Inequivalent atoms, fractional coordinates:
Y 0.000 0.000 0.000 [1 per cell]
Cr 0.000 0.500 0.500 [2 per cell]
Si 0.500 0.500 0.229 [2 per cell]
C 0.000 0.000 0.500 [1 per cell]

---

(4)
Computed powder X-ray diffraction pattern of Bi2Se for Cu Ka, from DFT lattice parameters and positions (GGA-PBE).

Largest 8 diffraction maxima, sorted by position, 10 to 90 degrees two-theta:
| h k l | d_spacing | 2θ (°) | I/Imax |
| --- | --- | --- | --- |
| 1 1 1 | 3.113 | 28.68 | 100 |
| 2 1 -1 | 3.057 | 29.21 | 83 |
| 0 4 0 | 2.965 | 30.14 | 86 |
| 1 3 1 | 2.499 | 35.93 | 62 |
| 2 3 -1 | 2.470 | 36.37 | 51 |
| 3 0 0 | 2.408 | 37.34 | 46 |
| 3 4 0 | 1.869 | 48.71 | 41 |
| 1 4 -2 | 1.732 | 52.85 | 33 |

Structure:
abc: 7.495 11.860 4.269
angles: 90.00 105.43 90.00
Space group P2_1/c (No. 14)
Inequivalent atoms, fractional coordinates:
Bi 0.027 0.138 0.466 [4 per cell]
Bi 0.331 0.624 0.676 [4 per cell]
Se 0.348 0.111 0.146 [4 per cell]

---

(5)
Computed powder X-ray diffraction pattern of CdGaAg2Se4 for Cu Ka, from DFT lattice parameters and positions (GGA-PBE).

Largest 8 diffraction maxima, sorted by position, 10 to 90 degrees two-theta:
| h k l | d_spacing | 2θ (°) | I/Imax |
| --- | --- | --- | --- |
| 0 2 0 | 3.741 | 23.78 | 47 |
| 2 1 0 | 3.582 | 24.86 | 100 |
| 0 0 2 | 3.552 | 25.07 | 85 |
| 2 1 1 | 3.198 | 27.90 | 76 |
| 2 3 0 | 2.128 | 42.48 | 85 |
| 0 2 3 | 2.001 | 45.32 | 47 |
| 2 1 3 | 1.975 | 45.94 | 88 |
| 2 3 2 | 1.825 | 49.96 | 47 |

Structure:
abc: 8.159 7.482 7.104
angles: 90.00 90.00 90.00
Space group Pmn2_1 (No. 31)
Inequivalent atoms, fractional coordinates:
Cd 0.000 0.150 0.000 [2 per cell]
Ga 0.000 0.830 0.489 [2 per cell]
Ag 0.248 0.673 0.008 [4 per cell]
Se 0.000 0.142 0.381 [2 per cell]
Se 0.000 0.826 0.839 [2 per cell]
Se 0.239 0.665 0.380 [4 per cell]

---

(6)
Computed powder X-ray diffraction pattern of KNbF6 for Cu Ka, from DFT lattice parameters and positions (GGA-PBE).

Largest 8 diffraction maxima, sorted by position, 10 to 90 degrees two-theta:
| h k l | d_spacing | 2θ (°) | I/Imax |
| --- | --- | --- | --- |
| 1 0 0 | 5.379 | 16.48 | 55 |
| 0 0 2 | 5.045 | 17.58 | 22 |
| 1 1 0 | 3.804 | 23.39 | 72 |
| 1 0 2 | 3.680 | 24.19 | 100 |
| 0 0 4 | 2.520 | 35.63 | 23 |
| 2 1 2 | 2.171 | 41.59 | 51 |
| 1 1 4 | 2.102 | 43.03 | 18 |
| 2 2 0 | 1.902 | 47.83 | 18 |

Structure:
abc: 5.379 5.379 10.089
angles: 90.00 90.00 90.00
Space group P4_2/mcm (No. 132)
Inequivalent atoms, fractional coordinates:
K 0.000 0.000 0.250 [2 per cell]
Nb 0.500 0.500 0.000 [2 per cell]
F 0.245 0.245 0.000 [4 per cell]
F 0.319 0.319 0.365 [8 per cell]

---

(7)
Computed powder X-ray diffraction pattern of Be4CrMo for Cu Ka, from DFT lattice parameters and positions (GGA-PBE).

Largest 8 diffraction maxima, sorted by position, 10 to 90 degrees two-theta:
| h k l | d_spacing | 2θ (°) | I/Imax |
| --- | --- | --- | --- |
| 0 0 1 | 7.103 | 12.46 | 37 |
| 1 0 0 | 3.762 | 23.65 | 81 |
| 0 0 2 | 3.552 | 25.07 | 45 |
| 1 0 1 | 3.324 | 26.82 | 65 |
| 1 0 2 | 2.582 | 34.74 | 46 |
| 1 1 0 | 2.172 | 41.58 | 91 |
| 1 0 3 | 2.004 | 45.25 | 100 |
| 1 1 2 | 1.853 | 49.17 | 65 |

Structure:
abc: 4.3439 4.3439 7.1031
angles: 90.00 90.00 120.00
Space group P-3m1 (No. 164)
Inequivalent atoms, fractional coordinates:
Be 0.0000 0.0000 0.0000 [1 per cell]
Be 0.0000 0.0000 0.5000 [1 per cell]
Be 0.1700 0.3400 0.2420 [6 per cell]
Cr 0.3333 0.6667 0.9402 [2 per cell]
Mo 0.3333 0.6667 0.5658 [2 per cell]

---

(8)
Computed powder X-ray diffraction pattern of Sr3MgIrO6 for Cu Ka, from DFT lattice parameters and positions (GGA-PBE).

Largest 8 diffraction maxima, sorted by position, 10 to 90 degrees two-theta:
| h k l | d_spacing | 2θ (°) | I/Imax |
| --- | --- | --- | --- |
| 1 1 0 | 4.867 | 18.23 | 26 |
| 0 1 2 | 4.669 | 19.01 | 79 |
| 1 1 3 | 2.965 | 30.14 | 53 |
| 3 0 0 | 2.810 | 31.85 | 100 |
| 0 2 4 | 2.335 | 38.56 | 26 |
| 3 1 2 | 2.158 | 41.86 | 33 |
| 2 1 4 | 2.105 | 42.97 | 32 |
| 2 2 3 | 2.040 | 44.42 | 31 |

Structure:
abc: 9.7338 9.7338 11.2171
angles: 90.00 90.00 120.00
Space group R-3c (No. 167, hexagonal axes)
Inequivalent atoms, fractional coordinates:
Sr 0.0000 0.3640 0.2500 [18 per cell]
Mg 0.0000 0.0000 0.2500 [6 per cell]
Ir 0.0000 0.0000 0.0000 [6 per cell]
O 0.0197 0.1717 0.3847 [36 per cell]

---

(9)
Computed powder X-ray diffraction pattern of SrB12H12O8 for Cu Ka, from DFT lattice parameters and positions (GGA-PBE).

Largest 8 diffraction maxima, sorted by position, 10 to 90 degrees two-theta:
| h k l | d_spacing | 2θ (°) | I/Imax |
| --- | --- | --- | --- |
| 1 0 1 | 7.277 | 12.16 | 28 |
| 0 1 2 | 5.269 | 16.83 | 49 |
| 1 1 0 | 5.030 | 17.63 | 100 |
| 2 0 2 | 3.638 | 24.47 | 59 |
| 1 1 3 | 3.316 | 26.88 | 26 |
| 2 1 1 | 3.195 | 27.92 | 58 |
| 1 3 1 | 2.377 | 37.85 | 32 |
| 3 -2 5 | 2.063 | 43.89 | 27 |

Structure:
abc: 10.0597 10.0597 13.2325
angles: 90.00 90.00 120.00
Space group R-3 (No. 148, hexagonal axes)
Inequivalent atoms, fractional coordinates:
Sr 0.0000 0.0000 0.0000 [3 per cell]
B 0.0317 0.9155 0.3994 [18 per cell]
B 0.0523 0.8666 0.5263 [18 per cell]
H 0.0167 0.5755 0.2121 [18 per cell]
H 0.0523 0.8494 0.3315 [18 per cell]
O 0.0000 0.0000 0.1806 [6 per cell]
O 0.0478 0.5034 0.5296 [18 per cell]

---

(10)
Computed powder X-ray diffraction pattern of SrBrO5 for Cu Ka, from DFT lattice parameters and positions (GGA-PBE).

Largest 8 diffraction maxima, sorted by position, 10 to 90 degrees two-theta:
| h k l | d_spacing | 2θ (°) | I/Imax |
| --- | --- | --- | --- |
| 0 1 1 | 5.789 | 15.30 | 72 |
| 0 1 -1 | 4.664 | 19.03 | 100 |
| 0 0 2 | 4.324 | 20.54 | 95 |
| 2 1 0 | 2.894 | 30.90 | 64 |
| 0 1 3 | 2.880 | 31.06 | 44 |
| 2 1 1 | 2.799 | 31.97 | 55 |
| 2 1 -1 | 2.694 | 33.26 | 29 |
| 2 0 1 | 2.588 | 34.66 | 33 |

Structure:
abc: 5.824 6.947 8.878
angles: 77.07 87.59 70.52
Space group P-1 (No. 2)
Inequivalent atoms, fractional coordinates:
Sr 0.019 0.359 0.273 [2 per cell]
Br 0.441 0.736 0.725 [2 per cell]
O 0.062 0.403 0.542 [2 per cell]
O 0.112 0.312 0.971 [2 per cell]
O 0.172 0.924 0.317 [2 per cell]
O 0.231 0.135 0.939 [2 per cell]
O 0.248 0.816 0.219 [2 per cell]

---

(11)
Computed powder X-ray diffraction pattern of Mg7Al for Cu Ka, from DFT lattice parameters and positions (GGA-PBE).

Largest 8 diffraction maxima, sorted by position, 10 to 90 degrees two-theta:
| h k l | d_spacing | 2θ (°) | I/Imax |
| --- | --- | --- | --- |
| 2 0 0 | 2.736 | 32.74 | 24 |
| 0 0 2 | 2.541 | 35.32 | 26 |
| 2 0 1 | 2.409 | 37.33 | 100 |
| 2 0 2 | 1.862 | 48.92 | 15 |
| 2 2 0 | 1.579 | 58.43 | 17 |
| 2 0 3 | 1.440 | 64.73 | 19 |
| 2 2 2 | 1.341 | 70.16 | 19 |
| 4 0 1 | 1.321 | 71.42 | 14 |

Structure:
abc: 6.3178 6.3178 5.0819
angles: 90.00 90.00 120.00
Space group P-6m2 (No. 187)
Inequivalent atoms, fractional coordinates:
Mg 0.0000 0.0000 0.0000 [1 per cell]
Mg 0.0027 0.5014 0.0000 [3 per cell]
Mg 0.3329 0.1665 0.5000 [3 per cell]
Al 0.3333 0.6667 0.5000 [1 per cell]

---

(12)
Computed powder X-ray diffraction pattern of Tl2Au for Cu Ka, from DFT lattice parameters and positions (GGA-PBE).

Largest 8 diffraction maxima, sorted by position, 10 to 90 degrees two-theta:
| h k l | d_spacing | 2θ (°) | I/Imax |
| --- | --- | --- | --- |
| 2 1 1 | 2.889 | 30.96 | 100 |
| 1 1 2 | 2.529 | 35.49 | 37 |
| 3 1 0 | 2.361 | 38.11 | 51 |
| 2 0 2 | 2.281 | 39.51 | 31 |
| 2 1 3 | 1.665 | 55.16 | 19 |
| 4 0 2 | 1.567 | 58.95 | 20 |
| 3 3 2 | 1.502 | 61.77 | 24 |
| 5 2 1 | 1.348 | 69.76 | 14 |

Structure:
abc: 7.467 7.467 5.763
angles: 90.00 90.00 90.00
Space group I4/mcm (No. 140)
Inequivalent atoms, fractional coordinates:
Tl 0.155 0.345 0.000 [8 per cell]
Au 0.000 0.000 0.250 [4 per cell]